For LiFe2OF3, a crystal structure in the Materials Project, relaxed with PBE+U gives the computed PXRD pattern in this record (λ = 1.5418 Å (Cu Kα)).

The 10 most intense peaks (2θ = 10–80°), in order of rising 2θ:
d = 6.268 Å, 14.13°, rel. 36, (0 1 0); d = 3.916 Å, 22.71°, rel. 71, (1 1 1); d = 3.070 Å, 29.08°, rel. 97, (1 1 2); d = 2.658 Å, 33.72°, rel. 88, (1 2 1); d = 2.639 Å, 33.97°, rel. 100, (2 1 1); d = 2.595 Å, 34.56°, rel. 92, (1 0 3); d = 2.201 Å, 41.00°, rel. 34, (2 2 0); d = 1.697 Å, 54.04°, rel. 35, (2 3 1); d = 1.688 Å, 54.34°, rel. 31, (3 2 1); d = 1.535 Å, 60.29°, rel. 99, (2 2 4)

Structural model:
```
data_LiFe2OF3
_chemical_formula_sum 'Li4 Fe8 O4 F12'
_cell_length_a 6.186
_cell_length_b 6.268
_cell_length_c 8.567
_cell_angle_alpha 90.00
_cell_angle_beta 90.00
_cell_angle_gamma 90.00
_space_group_name_H-M_alt 'P 2 2 21'
_space_group_IT_number 17
_space_group_name_Hall 'P 2c 2'
loop_
_atom_site_label
_atom_site_type_symbol
_atom_site_fract_x
_atom_site_fract_y
_atom_site_fract_z
Li1 Li 0.000 0.239 0.250
Li2 Li 0.243 0.500 0.000
Fe1 Fe 0.239 0.225 0.642
Fe2 Fe 0.242 0.000 0.000
Fe3 Fe 0.500 0.242 0.250
O1 O 0.250 0.027 0.231
F1 F 0.008 0.272 0.007
F2 F 0.254 0.484 0.242
F3 F 0.483 0.271 0.994
```